Diffraction record for NaLiI2Br6. The powder diffractogram is simulated, not measured: it uses DFT lattice parameters and positions (PBE) and copper Kα.
Neutral-atom scattering factors, no anomalous dispersion.

Atomic structure:
```
data_NaLiI2Br6
_cell_length_a 6.0487
_cell_length_b 8.2141
_cell_length_c 8.3496
_cell_angle_alpha 73.10
_cell_angle_beta 76.52
_cell_angle_gamma 69.11
_symmetry_space_group_name_H-M 'P 1'
_symmetry_Int_Tables_number 1
loop_
_symmetry_equiv_pos_as_xyz
'x,y,z'
loop_
_atom_site_label
_atom_site_fract_x
_atom_site_fract_y
_atom_site_fract_z
Na1 0.0000 0.0000 0.0000
Li1 0.5087 0.4470 0.4625
I1 0.3077 0.3050 0.1965
I2 0.5213 0.8692 0.6801
Br1 0.0145 0.8724 0.6972
Br2 0.1684 0.6327 0.2729
Br3 0.3237 0.2193 0.6998
Br4 0.4866 0.9735 0.1414
Br5 0.6872 0.5199 0.6729
Br6 0.8063 0.3009 0.2071
```

Main lines, low angle first (5 to 70 degrees two-theta):
15.8°, I = 18, hkl 1 0 0
18.1°, I = 48, hkl 0 1 -1
22.5°, I = 100, hkl 0 0 2
28.9°, I = 23, hkl 0 2 2
30.5°, I = 59, hkl 2 1 0
33.3°, I = 38, hkl 2 1 2
35.2°, I = 26, hkl 0 3 1
40.4°, I = 18, hkl 0 3 -1
42.6°, I = 20, hkl 2 1 -2
47.4°, I = 19, hkl -2 2 1

=====

Diffraction record for Ba4HgI8. The powder diffractogram is simulated, not measured: it uses DFT lattice parameters and positions (PBE) and copper Kα.
Neutral-atom scattering factors, no anomalous dispersion.

Atomic structure:
```
data_Ba4HgI8
_cell_length_a 24.6166
_cell_length_b 5.2511
_cell_length_c 15.8722
_cell_angle_alpha 90.00
_cell_angle_beta 129.99
_cell_angle_gamma 90.00
_symmetry_space_group_name_H-M 'C 1 m 1'
_symmetry_Int_Tables_number 8
loop_
_symmetry_equiv_pos_as_xyz
'x,y,z'
'x,-y,z'
'x+1/2,y+1/2,z'
'x+1/2,-y+1/2,z'
loop_
_atom_site_label
_atom_site_fract_x
_atom_site_fract_y
_atom_site_fract_z
Ba1 0.0000 0.0000 0.0000
Ba2 0.0060 0.5000 0.3624
Ba3 0.2943 0.5000 0.2812
Ba4 0.3005 0.0000 0.6439
Hg1 0.1861 0.5000 0.8596
I1 0.0342 0.0000 0.2502
I2 0.1126 0.5000 0.0564
I3 0.1877 0.5000 0.5867
I4 0.2663 0.0000 0.3935
I5 0.3216 0.0000 0.1672
I6 0.3825 0.0000 0.9220
I7 0.4178 0.5000 0.7218
I8 0.4789 0.5000 0.4766
```

Main lines, low angle first (5 to 70 degrees two-theta):
15.2°, I = 28, hkl 4 0 -1
20.2°, I = 43, hkl 3 1 -1
22.1°, I = 71, hkl 3 1 0
23.9°, I = 67, hkl 3 1 -3
24.3°, I = 100, hkl 2 0 -4
28.6°, I = 65, hkl 5 1 -4
31.3°, I = 62, hkl 7 1 -2
34.2°, I = 49, hkl 0 2 0
37.0°, I = 53, hkl 1 1 4
42.3°, I = 49, hkl 2 2 -4

=====

Diffraction record for SrTl2GeBr6. The powder diffractogram is simulated, not measured: it uses DFT lattice parameters and positions (PBE) and copper Kα.
Neutral-atom scattering factors, no anomalous dispersion.

Atomic structure:
```
data_SrTl2GeBr6
_cell_length_a 7.9984
_cell_length_b 7.9984
_cell_length_c 20.1252
_cell_angle_alpha 90.00
_cell_angle_beta 90.00
_cell_angle_gamma 120.00
_symmetry_space_group_name_H-M 'R 3'
_symmetry_Int_Tables_number 146
_symmetry_space_group_name_Hall 'R 3'
loop_
_atom_site_label
_atom_site_fract_x
_atom_site_fract_y
_atom_site_fract_z
Sr1 0.0000 0.0000 0.0000
Tl1 0.0000 0.0000 0.2139
Tl2 0.0000 0.0000 0.7136
Ge1 0.0000 0.0000 0.5016
Br1 0.0255 0.6063 0.2546
Br2 0.0748 0.3361 0.0935
```

Main lines, low angle first (5 to 70 degrees two-theta):
15.5°, I = 48, hkl 0 1 2
21.8°, I = 82, hkl 1 0 4
22.2°, I = 53, hkl 1 1 0
25.9°, I = 66, hkl 2 -1 3
27.2°, I = 64, hkl 2 0 2
31.4°, I = 100, hkl 0 2 4
34.9°, I = 77, hkl 1 1 6
38.8°, I = 55, hkl 2 1 4
39.0°, I = 61, hkl 3 0 0
57.8°, I = 30, hkl 3 -1 10

=====

Diffraction record for TmCd7. The powder diffractogram is simulated, not measured: it uses DFT lattice parameters and positions (PBE) and copper Kα.
Neutral-atom scattering factors, no anomalous dispersion.

Atomic structure:
```
data_TmCd7
_cell_length_a 4.5027
_cell_length_b 4.5027
_cell_length_c 18.0241
_cell_angle_alpha 90.00
_cell_angle_beta 90.00
_cell_angle_gamma 90.00
_symmetry_space_group_name_H-M 'I 4/m m m'
_symmetry_Int_Tables_number 139
_symmetry_space_group_name_Hall '-I 4 2'
loop_
_atom_site_label
_atom_site_fract_x
_atom_site_fract_y
_atom_site_fract_z
Tm1 0.0000 0.0000 0.0000
Cd1 0.0000 0.0000 0.2463
Cd2 0.0000 0.0000 0.5000
Cd3 0.0000 0.5000 0.1276
```

Main lines, low angle first (5 to 70 degrees two-theta):
9.8°, I = 1, hkl 0 0 2
20.3°, I = 1, hkl 1 0 1
29.8°, I = 1, hkl 0 0 6
31.8°, I = 1, hkl 1 0 5
34.5°, I = 100, hkl 1 1 4
40.0°, I = 49, hkl 2 0 0
57.9°, I = 32, hkl 2 2 0
69.2°, I = 37, hkl 3 1 4